For CaErRuRh, a DFT-relaxed cell (GGA-PBE, Alexandria) gives the computed powder diffraction line list in this record (λ = 1.5418 Å (Cu Kα)).
Neutral-atom scattering factors, no anomalous dispersion.

Principal peaks in the range 15 to 90 degrees two-theta, in order of rising 2θ:
| d_spacing | 2theta | I/Imax |
| --- | --- | --- |
| 3.913 | 22.7 | 20.6 |
| 2.396 | 37.5 | 100.0 |
| 2.043 | 44.3 | 11.3 |
| 1.694 | 54.1 | 17.1 |
| 1.555 | 59.5 | 4.9 |
| 1.383 | 67.7 | 34.3 |
| 1.304 | 72.5 | 3.7 |
| 1.198 | 80.1 | 10.7 |
| 1.145 | 84.6 | 3.8 |

Crystal structure
Cell: 6.7768 6.7768 6.7768 Å, 90.00 90.00 90.00°
Space group F-43m (No. 216)
One atom of each set of equivalent atoms:
Ca (0.0000, 0.0000, 0.0000) (multiplicity 4)
Er (0.0000, 0.0000, 0.5000) (multiplicity 4)
Ru (0.2500, 0.2500, 0.7500) (multiplicity 4)
Rh (0.2500, 0.2500, 0.2500) (multiplicity 4)